Record 1
Diffraction record for CoH2CS. The powder diffractogram is theoretical, not measured: it uses a PBE-relaxed structure and Cu Kα.
No peak broadening, texture or thermal motion is included.

The 10 most intense peaks (2θ = 10–90°), low angle first:
2θ/deg	d (Å)	I (rel.)
17.7	5.011	100
22.8	3.896	73
24.7	3.603	79
30.2	2.958	26
36.5	2.460	25
41.2	2.191	29
45.0	2.016	12
50.9	1.795	13
56.0	1.643	10
56.9	1.618	12

abc: 3.520 4.419 5.508
angles: 96.73 108.62 113.30
Element x y z (fractional)
Co 0.000 0.000 0.000
H 0.144 0.001 0.286
H 0.761 0.425 0.098
C 0.594 0.138 0.051
S 0.281 0.828 0.732

***

Record 2
Diffraction record for CoHCS. The powder diffractogram is theoretical, not measured: it uses a PBE-relaxed structure and Cu Kα.
No peak broadening, texture or thermal motion is included.

The 10 most intense peaks (2θ = 10–90°), low angle first:
2θ/deg	d (Å)	I (rel.)
20.5	4.324	33
27.3	3.261	100
34.4	2.604	17
35.7	2.517	65
45.5	1.993	59
51.6	1.773	19
56.4	1.631	11
59.3	1.557	24
66.9	1.398	12
68.6	1.369	16

abc: 3.096 3.261 4.324
angles: 90.00 90.00 90.00
Element x y z (fractional)
Co 0.000 0.000 0.000
H 0.000 0.500 0.936
C 0.500 0.000 0.734
S 0.500 0.000 0.360

***

Record 3
Diffraction record for CoH2CS. The powder diffractogram is theoretical, not measured: it uses a PBE-relaxed structure and Cu Kα.
No peak broadening, texture or thermal motion is included.

The 10 most intense peaks (2θ = 10–90°), low angle first:
2θ/deg	d (Å)	I (rel.)
15.7	5.646	100
22.6	3.939	9
27.6	3.231	22
33.5	2.675	14
37.2	2.417	26
39.3	2.295	12
49.0	1.860	10
52.5	1.742	14
60.6	1.527	10
65.1	1.434	9

abc: 2.675 3.939 5.646
angles: 90.00 90.00 90.00
Element x y z (fractional)
Co 0.000 0.000 0.000
H 0.500 0.231 0.652
H 0.500 0.769 0.652
C 0.500 0.000 0.762
S 0.000 0.500 0.137

***

Record 4
Diffraction record for CoHCS. The powder diffractogram is theoretical, not measured: it uses a PBE-relaxed structure and Cu Kα.
No peak broadening, texture or thermal motion is included.

The 10 most intense peaks (2θ = 10–90°), low angle first:
2θ/deg	d (Å)	I (rel.)
21.4	4.156	87
29.1	3.074	72
33.4	2.683	37
37.0	2.431	100
42.3	2.137	33
42.8	2.111	26
51.3	1.781	39
52.2	1.753	25
54.3	1.689	36
60.4	1.533	25

abc: 3.608 3.608 4.443
angles: 108.77 108.77 48.82
Element x y z (fractional)
Co 0.000 0.000 0.000
H 0.230 0.230 0.675
C 0.402 0.402 0.685
S 0.365 0.365 0.274

***

Record 5
Diffraction record for CoHgRuC2. The powder diffractogram is theoretical, not measured: it uses a PBE-relaxed structure and Cu Kα.
No peak broadening, texture or thermal motion is included.

The 10 most intense peaks (2θ = 10–90°), low angle first:
2θ/deg	d (Å)	I (rel.)
17.0	5.215	100
29.6	3.023	60
34.2	2.623	96
34.4	2.607	60
38.4	2.343	81
49.1	1.855	43
49.3	1.849	69
52.4	1.748	25
61.3	1.511	43
82.3	1.172	19

abc: 3.710 3.710 5.215
angles: 90.00 90.00 90.00
Element x y z (fractional)
Co 0.000 0.000 0.000
Hg 0.500 0.500 0.500
Ru 0.000 0.000 0.500
C 0.000 0.500 0.000
C 0.500 0.000 0.000

***

Record 6
Diffraction record for Ho2Co5C4. The powder diffractogram is theoretical, not measured: it uses a PBE-relaxed structure and Cu Kα.
No peak broadening, texture or thermal motion is included.

The 10 most intense peaks (2θ = 10–90°), low angle first:
2θ/deg	d (Å)	I (rel.)
22.2	4.001	25
33.3	2.690	100
38.3	2.352	50
40.0	2.255	45
41.6	2.172	83
43.3	2.092	63
51.6	1.772	26
59.1	1.563	21
66.0	1.416	19
71.4	1.320	18

abc: 6.967 5.693 5.303
angles: 78.55 53.21 48.24
Element x y z (fractional)
Ho 0.151 0.151 0.849
Ho 0.849 0.849 0.151
Co 0.000 0.000 0.500
Co 0.250 0.250 0.250
Co 0.500 0.500 0.000
Co 0.500 0.500 0.500
Co 0.750 0.750 0.750
C 0.213 0.522 0.478
C 0.478 0.787 0.213
C 0.522 0.213 0.787
C 0.787 0.478 0.522

***

Record 7
Diffraction record for Ho2Co3C2. The powder diffractogram is theoretical, not measured: it uses a PBE-relaxed structure and Cu Kα.
No peak broadening, texture or thermal motion is included.

The 10 most intense peaks (2θ = 10–90°), low angle first:
2θ/deg	d (Å)	I (rel.)
19.9	4.459	32
31.1	2.879	58
31.3	2.858	58
35.5	2.526	71
39.5	2.282	52
40.1	2.249	100
40.5	2.229	45
42.1	2.148	49
43.0	2.103	32
46.7	1.946	39

abc: 4.955 4.955 6.445
angles: 114.51 114.51 38.29
Element x y z (fractional)
Ho 0.129 0.129 0.276
Ho 0.871 0.871 0.724
Co 0.351 0.351 0.088
Co 0.500 0.500 0.500
Co 0.649 0.649 0.912
C 0.155 0.155 0.741
C 0.845 0.845 0.259

***

Record 8
Diffraction record for HoZn2Co2C. The powder diffractogram is theoretical, not measured: it uses a PBE-relaxed structure and Cu Kα.
No peak broadening, texture or thermal motion is included.

The 10 most intense peaks (2θ = 10–90°), low angle first:
2θ/deg	d (Å)	I (rel.)
27.7	3.220	21
31.5	2.837	99
36.4	2.468	100
42.5	2.129	33
48.2	1.890	46
54.8	1.674	42
58.7	1.573	33
66.1	1.413	18
78.0	1.226	20
82.0	1.175	18

abc: 6.973 6.973 6.973
angles: 148.55 148.55 45.07
Element x y z (fractional)
Ho 0.000 0.000 0.000
Zn 0.250 0.750 0.500
Zn 0.750 0.250 0.500
Co 0.368 0.368 0.000
Co 0.632 0.632 0.000
C 0.500 0.500 0.000